Structure and simulated X-ray powder pattern of GdUH2I4 (a cell relaxed with PBE; λ = 1.5418 Å (Cu Kα)).
Intensities are scaled so that the largest is 100.

Principal peaks in the range 10° ≤ 2θ ≤ 90°, by intensity:
hkl, two_theta, d [Å], Rel. int.
1 0 4, 33.85, 2.648, 100
0 0 2, 10.76, 8.226, 72
1 0 2, 27.97, 3.190, 67
1 0 1, 26.32, 3.387, 44
1 1 0, 45.39, 1.998, 44
1 0 3, 30.55, 2.927, 42
1 1 8, 65.09, 1.433, 28
1 0 7, 46.75, 1.943, 27
2 0 4, 57.81, 1.595, 22
2 1 4, 76.41, 1.246, 20
1 1 6, 57.03, 1.615, 17
0 0 8, 44.03, 2.056, 15

Structure:
Cell lengths 3.9960, 3.9960, 16.4512 Å; angles 90.00, 90.00, 120.00 degrees
Space group P-6m2 (No. 187)
Symmetry-distinct sites (fractional):
Gd 0.0000 0.0000 0.0000 [1 per cell]
U 0.0000 0.0000 0.5000 [1 per cell]
H 0.3333 0.6667 0.5000 [1 per cell]
H 0.6667 0.3333 0.0000 [1 per cell]
I 0.3333 0.6667 0.1301 [2 per cell]
I 0.6667 0.3333 0.3671 [2 per cell]


Structure and simulated X-ray powder pattern of Li6CdI8 (a cell relaxed with PBE; λ = 1.5418 Å (Cu Kα)).
Intensities are scaled so that the largest is 100.

Principal peaks in the range 10° ≤ 2θ ≤ 90°, by intensity:
hkl, two_theta, d [Å], Rel. int.
2 2 2, 25.89, 3.441, 100
4 0 0, 29.99, 2.980, 92
4 4 0, 42.92, 2.107, 68
6 2 2, 50.81, 1.797, 46
8 4 0, 70.69, 1.333, 30
4 4 4, 53.25, 1.720, 24
8 4 4, 78.65, 1.216, 23
6 6 2, 68.65, 1.367, 19
10 2 2, 84.47, 1.147, 15
8 0 0, 62.32, 1.490, 11
1 1 1, 12.86, 6.881, 8
3 1 1, 24.77, 3.594, 6

Structure:
Cell lengths 11.9190, 11.9190, 11.9190 Å; angles 90.00, 90.00, 90.00 degrees
Space group Fm-3m (No. 225)
Symmetry-distinct sites (fractional):
Li 0.0000 0.2500 0.2500 [24 per cell]
Cd 0.0000 0.0000 0.0000 [4 per cell]
I 0.0000 0.0000 0.2518 [24 per cell]
I 0.2500 0.2500 0.2500 [8 per cell]


Repeat the first record exactly.
Structure and simulated X-ray powder pattern of GdUH2I4 (a cell relaxed with PBE; λ = 1.5418 Å (Cu Kα)).
Intensities are scaled so that the largest is 100.

Principal peaks in the range 10° ≤ 2θ ≤ 90°, by intensity:
hkl, two_theta, d [Å], Rel. int.
1 0 4, 33.85, 2.648, 100
0 0 2, 10.76, 8.226, 72
1 0 2, 27.97, 3.190, 67
1 0 1, 26.32, 3.387, 44
1 1 0, 45.39, 1.998, 44
1 0 3, 30.55, 2.927, 42
1 1 8, 65.09, 1.433, 28
1 0 7, 46.75, 1.943, 27
2 0 4, 57.81, 1.595, 22
2 1 4, 76.41, 1.246, 20
1 1 6, 57.03, 1.615, 17
0 0 8, 44.03, 2.056, 15

Structure:
Cell lengths 3.9960, 3.9960, 16.4512 Å; angles 90.00, 90.00, 120.00 degrees
Space group P-6m2 (No. 187)
Symmetry-distinct sites (fractional):
Gd 0.0000 0.0000 0.0000 [1 per cell]
U 0.0000 0.0000 0.5000 [1 per cell]
H 0.3333 0.6667 0.5000 [1 per cell]
H 0.6667 0.3333 0.0000 [1 per cell]
I 0.3333 0.6667 0.1301 [2 per cell]
I 0.6667 0.3333 0.3671 [2 per cell]